(1)
This entry pairs a crystal structure of ErCo4Sn4 with its theoretical PXRD pattern. Radiation: copper Kα. Structure: a PBE-relaxed structure.

Structure:
```
ErCo4Sn4
1.0
8.289 0.000 0.000
0.000 8.289 0.000
0.000 0.000 5.158
Er Co Sn
2 8 8
Direct
0.250 0.250 0.250 Er
0.750 0.750 0.750 Er
0.055 0.599 0.643 Co
0.099 0.945 0.143 Co
0.401 0.555 0.143 Co
0.445 0.901 0.643 Co
0.555 0.099 0.357 Co
0.599 0.445 0.857 Co
0.901 0.055 0.857 Co
0.945 0.401 0.357 Co
0.094 0.635 0.144 Sn
0.135 0.906 0.644 Sn
0.365 0.594 0.644 Sn
0.406 0.865 0.144 Sn
0.594 0.135 0.856 Sn
0.635 0.406 0.356 Sn
0.865 0.094 0.356 Sn
0.906 0.365 0.856 Sn
```

Principal peaks in the range 2θ = 10–80°, most intense first:
2θ/deg	d_spacing	I (rel.)
34.2	2.621	100
29.7	3.010	52
36.5	2.462	46
48.3	1.885	40
20.3	4.379	27
43.1	2.100	22
49.2	1.853	19
67.1	1.394	17
58.2	1.585	15
49.6	1.838	14


(2)
This entry pairs a crystal structure of MnNi5Ge with its theoretical PXRD pattern. Radiation: copper Kα. Structure: a PBE-relaxed structure.

Structure:
```
MnNi5Ge
1.0
3.598 0.000 0.000
0.000 3.598 0.000
0.000 0.000 6.624
Mn Ni Ge
1 5 1
Direct
0.000 0.000 0.000 Mn
0.000 0.500 0.267 Ni
0.000 0.500 0.733 Ni
0.500 0.000 0.267 Ni
0.500 0.000 0.733 Ni
0.500 0.500 0.000 Ni
0.500 0.500 0.500 Ge
```

Principal peaks in the range 2θ = 10–80°, most intense first:
2θ/deg	d_spacing	I (rel.)
44.9	2.018	100
50.8	1.799	35
78.5	1.218	16
55.5	1.656	12
74.6	1.272	10
24.7	3.598	9
28.2	3.162	8
36.9	2.437	6
37.9	2.375	4
40.9	2.208	3


(3)
This entry pairs a crystal structure of CuPtN4Cl4 with its theoretical PXRD pattern. Radiation: copper Kα. Structure: a PBE-relaxed structure.

Structure:
```
CuPtN4Cl4
1.0
-4.709 4.709 2.445
4.709 -4.709 2.445
4.709 4.709 -2.445
Cu Pt N Cl
1 1 4 4
Direct
0.000 0.000 0.000 Cu
0.500 0.500 0.000 Pt
0.000 0.204 0.204 N
0.000 0.796 0.796 N
0.204 0.000 0.204 N
0.796 0.000 0.796 N
0.256 0.500 0.756 Cl
0.500 0.256 0.756 Cl
0.500 0.744 0.244 Cl
0.744 0.500 0.244 Cl
```

Principal peaks in the range 2θ = 10–80°, most intense first:
2θ/deg	d_spacing	I (rel.)
13.3	6.660	100
18.8	4.709	40
20.5	4.339	24
30.0	2.978	21
38.2	2.355	18
39.3	2.295	14
54.1	1.696	12
48.2	1.890	12
36.8	2.445	11
41.6	2.170	11